Simulated PXRD pattern
Compound: Fe5O7F3
Radiation: Cu Kα X-rays
Structure: a crystal structure in Alexandria, relaxed with GGA+U
Kinematic intensities with the Lorentz-polarization factor, no thermal factor.

Top 10 peaks for 2θ from 10° to 90°, in order of rising 2θ:
2θ (°)	Rel. int.	hkl
26.7	93.7	1 1 0
27.4	94.2	1 -1 0
35.3	100.0	0 1 5
38.6	17.0	2 0 0
40.1	15.8	1 1 -5
52.9	54.1	2 1 5
53.7	52.9	-1 2 5
61.0	15.8	0 0 10
67.7	18.3	0 3 5
67.8	28.8	3 0 5

Crystal structure
a b c (Å): 4.661 4.669 15.186
angles (deg): 89.97 90.00 88.54
Element x y z (fractional)
Fe  0.000  0.000  0.000
Fe  0.001  0.000  0.197
Fe  0.003  0.992  0.806
Fe  0.027  0.028  0.599
Fe  0.051  0.064  0.392
Fe  0.507  0.560  0.693
Fe  0.527  0.531  0.299
Fe  0.531  0.528  0.898
Fe  0.531  0.530  0.098
Fe  0.550  0.495  0.503
O  0.202  0.840  0.700
O  0.204  0.812  0.903
O  0.207  0.820  0.097
O  0.225  0.830  0.298
O  0.329  0.334  0.602
O  0.354  0.345  0.398
O  0.696  0.714  0.795
O  0.704  0.704  0.200
O  0.706  0.704  0.999
O  0.726  0.729  0.599
O  0.819  0.205  0.902
O  0.821  0.206  0.097
O  0.827  0.224  0.297
O  0.858  0.212  0.498
F  0.247  0.831  0.496
F  0.312  0.322  0.797
F  0.318  0.314  0.999
F  0.318  0.320  0.197
F  0.744  0.728  0.401
F  0.814  0.228  0.702